For Dy6Mg2Pd, a crystal structure in Alexandria, relaxed with PBE gives the theoretical powder XRD pattern in this record (Cu Kα (λ = 1.5418 Å)).

Cell lengths 6.6615, 7.3346, 11.2039 Å; angles 90.00, 107.73, 90.00 degrees
Space group P2_1/c (No. 14)
Unique sites:
Dy: 0.0952 0.0328 0.2508 (multiplicity 4)
Dy: 0.1708 0.7081 0.0326 (multiplicity 4)
Dy: 0.3226 0.1611 0.0009 (multiplicity 4)
Mg: 0.4204 0.0789 0.7426 (multiplicity 4)
Pd: 0.5000 0.0000 0.5000 (multiplicity 2)

Main lines, by angle (15° ≤ 2θ ≤ 90°):
| h k l | 2theta | Rel. int. |
| --- | --- | --- |
| 0 0 2 | 16.61 | 491 |
| 1 0 2 | 24.86 | 307 |
| 0 2 2 | 29.56 | 739 |
| 1 2 1 | 30.54 | 1000 |
| 2 1 -2 | 30.59 | 574 |
| 2 1 0 | 30.71 | 343 |
| 0 0 4 | 33.59 | 744 |
| 2 1 -3 | 33.90 | 412 |
| 2 1 1 | 34.11 | 324 |
| 1 2 -3 | 34.89 | 298 |
| 1 3 -1 | 39.48 | 385 |
| 3 1 -1 | 42.78 | 340 |